# 1
For ZnGeHAuSe, DFT lattice parameters and positions (GGA-PBE) gives the calculated XRD peak list in this record (CuKα).

Cell and atoms:
Cell lengths 3.127, 4.274, 14.200 Å; angles 90.00, 90.00, 90.00 degrees
Space group Imm2 (No. 44)
One atom of each set of equivalent atoms:
1 Zn 0.000 0.000 0.000 (multiplicity 2)
2 Ge 0.000 0.500 0.274 (multiplicity 2)
3 H 0.000 0.500 0.445 (multiplicity 2)
4 Au 0.000 0.500 0.789 (multiplicity 2)
5 Se 0.000 0.500 0.090 (multiplicity 2)

Main lines, in order of falling intensity (10° ≤ 2θ ≤ 80°):
hkl 1 1 2, 2θ = 37.83°, intensity 100; hkl 0 0 4, 2θ = 25.09°, intensity 95; hkl 0 0 2, 2θ = 12.47°, intensity 87; hkl 0 1 3, 2θ = 28.13°, intensity 77; hkl 1 1 4, 2θ = 44.02°, intensity 58; hkl 1 1 0, 2θ = 35.57°, intensity 57; hkl 1 1 6, 2θ = 53.05°, intensity 56; hkl 0 2 4, 2θ = 49.79°, intensity 52; hkl 1 0 1, 2θ = 29.24°, intensity 43; hkl 0 2 0, 2θ = 42.30°, intensity 40

---

# 2
For Hf2GeAu2, DFT lattice parameters and positions (GGA-PBE) gives the calculated XRD peak list in this record (CuKα).

Cell and atoms:
Cell lengths 7.018, 7.018, 4.010 Å; angles 90.00, 90.00, 90.00 degrees
Space group P4/mbm (No. 127)
One atom of each set of equivalent atoms:
1 Hf 0.167 0.333 0.000 (multiplicity 4)
2 Ge 0.000 0.000 0.500 (multiplicity 2)
3 Au 0.136 0.636 0.500 (multiplicity 4)

Main lines, in order of falling intensity (10° ≤ 2θ ≤ 80°):
hkl 2 1 1, 2θ = 36.35°, intensity 100; hkl 3 1 0, 2θ = 40.66°, intensity 26; hkl 5 2 1, 2θ = 76.92°, intensity 17; hkl 0 0 2, 2θ = 45.22°, intensity 15; hkl 3 1 2, 2θ = 62.42°, intensity 15; hkl 1 1 0, 2θ = 17.88°, intensity 15; hkl 2 1 3, 2θ = 77.63°, intensity 11; hkl 4 1 1, 2θ = 58.95°, intensity 10; hkl 2 0 1, 2θ = 33.95°, intensity 7; hkl 3 3 0, 2θ = 55.56°, intensity 7

---

# 3
For HfGe2Au, DFT lattice parameters and positions (GGA-PBE) gives the calculated XRD peak list in this record (CuKα).

Cell and atoms:
Cell lengths 8.617, 9.274, 11.408 Å; angles 90.00, 96.22, 90.00 degrees
Space group P2_1 (No. 4)
One atom of each set of equivalent atoms:
1 Hf 0.034 0.000 0.056 (multiplicity 2)
2 Hf 0.034 0.178 0.556 (multiplicity 2)
3 Hf 0.183 0.642 0.720 (multiplicity 2)
4 Hf 0.184 0.536 0.219 (multiplicity 2)
5 Hf 0.229 0.000 0.803 (multiplicity 2)
6 Hf 0.230 0.178 0.303 (multiplicity 2)
7 Ge 0.000 0.378 0.362 (multiplicity 2)
8 Ge 0.001 0.300 0.137 (multiplicity 2)
9 Ge 0.044 0.242 0.844 (multiplicity 2)
10 Ge 0.045 0.936 0.344 (multiplicity 2)
11 Ge 0.328 0.471 0.907 (multiplicity 2)
12 Ge 0.328 0.707 0.407 (multiplicity 2)
13 Ge 0.378 0.003 0.025 (multiplicity 2)
14 Ge 0.379 0.175 0.525 (multiplicity 2)
15 Ge 0.454 0.411 0.343 (multiplicity 2)
16 Ge 0.455 0.767 0.841 (multiplicity 2)
17 Ge 0.476 0.553 0.675 (multiplicity 2)
18 Ge 0.477 0.623 0.175 (multiplicity 2)
19 Au 0.228 0.474 0.513 (multiplicity 2)
20 Au 0.229 0.705 0.012 (multiplicity 2)
21 Au 0.264 0.265 0.048 (multiplicity 2)
22 Au 0.264 0.913 0.548 (multiplicity 2)
23 Au 0.303 0.295 0.719 (multiplicity 2)
24 Au 0.303 0.882 0.219 (multiplicity 2)

Main lines, in order of falling intensity (10° ≤ 2θ ≤ 80°):
hkl 2 2 -3, 2θ = 35.64°, intensity 100; hkl 0 1 4, 2θ = 33.02°, intensity 77; hkl 2 2 3, 2θ = 38.66°, intensity 55; hkl 0 3 3, 2θ = 37.59°, intensity 54; hkl 2 0 0, 2θ = 20.73°, intensity 52; hkl 3 2 -2, 2θ = 38.91°, intensity 48; hkl 3 1 2, 2θ = 38.04°, intensity 39; hkl 2 3 1, 2θ = 37.22°, intensity 38; hkl 3 1 1, 2θ = 34.63°, intensity 37; hkl 2 0 4, 2θ = 39.99°, intensity 27